Structure and simulated PXRD pattern of AgHPd3 (DFT lattice parameters and positions (PBE); a wavelength of 1.5418 Å).

Structure:
Unit cell a=7.933 b=8.261 c=4.062 alpha=90.00 beta=90.14 gamma=90.00
Space group C2 (No. 5)
Asymmetric unit:
1 Ag 0.126 0.000 0.250 [4 per cell]
2 H 0.145 0.295 0.292 [4 per cell]
3 Pd 0.123 0.256 0.751 [4 per cell]
4 Pd 0.123 0.512 0.248 [4 per cell]
5 Pd 0.125 0.752 0.752 [4 per cell]

Main lines, by angle (10° ≤ 2θ ≤ 90°):
(2 2 1), 2θ 38.5, rel. 100; (0 4 0), 2θ 43.8, rel. 17; (0 0 2), 2θ 44.6, rel. 17; (4 0 0), 2θ 45.7, rel. 15; (0 4 2), 2θ 64.3, rel. 11; (4 4 0), 2θ 65.2, rel. 10; (2 6 1), 2θ 77.0, rel. 12; (2 2 -3), 2θ 78.0, rel. 6; (2 2 3), 2θ 78.2, rel. 6; (6 2 -1), 2θ 79.7, rel. 6


Structure and simulated PXRD pattern of TcPt8Rh4 (DFT lattice parameters and positions (PBE); a wavelength of 1.5418 Å).

Structure:
Unit cell a=6.071 b=6.071 c=6.071 alpha=90.00 beta=90.00 gamma=90.00
Space group Pm-3m (No. 221)
Asymmetric unit:
1 Tc 0.000 0.000 0.000 [1 per cell]
2 Pt 0.257 0.257 0.257 [8 per cell]
3 Rh 0.000 0.000 0.500 [3 per cell]
4 Rh 0.500 0.500 0.500 [1 per cell]

Main lines, by angle (10° ≤ 2θ ≤ 90°):
(1 1 0), 2θ 20.7, rel. 2; (1 1 1), 2θ 25.4, rel. 6; (2 0 0), 2θ 29.4, rel. 31; (2 1 0), 2θ 33.0, rel. 3; (2 2 0), 2θ 42.1, rel. 100; (3 1 1), 2θ 49.8, rel. 3; (2 2 2), 2θ 52.2, rel. 9; (4 0 0), 2θ 61.0, rel. 17; (4 2 0), 2θ 69.2, rel. 11; (4 2 2), 2θ 76.9, rel. 34


Structure and simulated PXRD pattern of Ho6ErTm2Sc (DFT lattice parameters and positions (PBE); a wavelength of 1.5418 Å).

Structure:
Unit cell a=8.960 b=14.693 c=9.337 alpha=90.00 beta=97.37 gamma=90.00
Space group C2/c (No. 15)
Asymmetric unit:
1 Ho 0.060 0.186 0.445 [8 per cell]
2 Ho 0.101 0.393 0.617 [8 per cell]
3 Ho 0.214 0.222 0.812 [8 per cell]
4 Er 0.000 0.023 0.750 [4 per cell]
5 Tm 0.248 0.448 0.953 [8 per cell]
6 Sc 0.000 0.413 0.250 [4 per cell]

Main lines, by angle (10° ≤ 2θ ≤ 90°):
(2 2 -2), 2θ 28.7, rel. 19; (1 3 2), 2θ 29.2, rel. 42; (3 1 -1), 2θ 31.1, rel. 58; (0 2 3), 2θ 31.4, rel. 39; (2 2 2), 2θ 32.1, rel. 100; (2 4 -1), 2θ 32.3, rel. 33; (1 5 -1), 2θ 33.2, rel. 23; (1 3 -3), 2θ 34.7, rel. 37; (1 1 -4), 2θ 39.4, rel. 15; (5 5 -1), 2θ 60.6, rel. 15


Structure and simulated PXRD pattern of ThRhAu (DFT lattice parameters and positions (PBE); a wavelength of 1.5418 Å).

Structure:
Unit cell a=5.336 b=5.651 c=8.541 alpha=90.00 beta=90.00 gamma=90.00
Space group Pmmn (No. 59, origin choice 2)
Asymmetric unit:
1 Th 0.250 0.250 0.088 [2 per cell]
2 Th 0.250 0.750 0.411 [2 per cell]
3 Rh 0.250 0.250 0.439 [2 per cell]
4 Rh 0.250 0.750 0.059 [2 per cell]
5 Au 0.250 0.000 0.749 [4 per cell]

Main lines, by angle (10° ≤ 2θ ≤ 90°):
(2 0 0), 2θ 33.6, rel. 62; (1 0 3), 2θ 35.7, rel. 100; (1 2 1), 2θ 37.5, rel. 83; (0 2 2), 2θ 38.2, rel. 44; (2 2 2), 2θ 51.8, rel. 37; (3 0 3), 2θ 61.5, rel. 22; (3 2 1), 2θ 62.7, rel. 19; (2 2 4), 2θ 64.9, rel. 15; (1 2 5), 2θ 66.3, rel. 18; (1 4 3), 2θ 77.5, rel. 25


Copy entry 2 word for word.
Structure and simulated PXRD pattern of TcPt8Rh4 (DFT lattice parameters and positions (PBE); a wavelength of 1.5418 Å).

Structure:
Unit cell a=6.071 b=6.071 c=6.071 alpha=90.00 beta=90.00 gamma=90.00
Space group Pm-3m (No. 221)
Asymmetric unit:
1 Tc 0.000 0.000 0.000 [1 per cell]
2 Pt 0.257 0.257 0.257 [8 per cell]
3 Rh 0.000 0.000 0.500 [3 per cell]
4 Rh 0.500 0.500 0.500 [1 per cell]

Main lines, by angle (10° ≤ 2θ ≤ 90°):
(1 1 0), 2θ 20.7, rel. 2; (1 1 1), 2θ 25.4, rel. 6; (2 0 0), 2θ 29.4, rel. 31; (2 1 0), 2θ 33.0, rel. 3; (2 2 0), 2θ 42.1, rel. 100; (3 1 1), 2θ 49.8, rel. 3; (2 2 2), 2θ 52.2, rel. 9; (4 0 0), 2θ 61.0, rel. 17; (4 2 0), 2θ 69.2, rel. 11; (4 2 2), 2θ 76.9, rel. 34


What did the first record say?
Structure and simulated PXRD pattern of AgHPd3 (DFT lattice parameters and positions (PBE); a wavelength of 1.5418 Å).

Structure:
Unit cell a=7.933 b=8.261 c=4.062 alpha=90.00 beta=90.14 gamma=90.00
Space group C2 (No. 5)
Asymmetric unit:
1 Ag 0.126 0.000 0.250 [4 per cell]
2 H 0.145 0.295 0.292 [4 per cell]
3 Pd 0.123 0.256 0.751 [4 per cell]
4 Pd 0.123 0.512 0.248 [4 per cell]
5 Pd 0.125 0.752 0.752 [4 per cell]

Main lines, by angle (10° ≤ 2θ ≤ 90°):
(2 2 1), 2θ 38.5, rel. 100; (0 4 0), 2θ 43.8, rel. 17; (0 0 2), 2θ 44.6, rel. 17; (4 0 0), 2θ 45.7, rel. 15; (0 4 2), 2θ 64.3, rel. 11; (4 4 0), 2θ 65.2, rel. 10; (2 6 1), 2θ 77.0, rel. 12; (2 2 -3), 2θ 78.0, rel. 6; (2 2 3), 2θ 78.2, rel. 6; (6 2 -1), 2θ 79.7, rel. 6